No. 1
# Y2Fe17CN
Simulated powder diffractogram, Cu Kα, 1.54184 Å. Input: a cell relaxed with GGA-PBE.
Lines closer than 0.1° are merged.

Structure:
a b c (Å): 6.438 6.467 6.504
angles (deg): 83.56 83.49 82.85
Sites, in units of the cell vectors:
Y1 0.161 0.152 0.160
Y2 0.839 0.848 0.840
Fe1 0.000 0.500 0.500
Fe2 0.154 0.647 0.159
Fe3 0.155 0.157 0.647
Fe4 0.208 0.789 0.502
Fe5 0.213 0.502 0.785
Fe6 0.351 0.844 0.841
Fe7 0.404 0.405 0.404
Fe8 0.499 0.217 0.783
Fe9 0.500 0.000 0.500
Fe10 0.500 0.500 0.000
Fe11 0.501 0.783 0.217
Fe12 0.596 0.595 0.596
Fe13 0.649 0.156 0.159
Fe14 0.787 0.498 0.215
Fe15 0.792 0.211 0.498
Fe16 0.845 0.843 0.353
Fe17 0.846 0.353 0.841
C1 0.000 0.500 0.000
N1 0.500 0.000 0.000

Top 6 peaks for 10 to 90 degrees two-theta, most intense first:
| 2θ/deg | I/Imax |
| --- | --- |
| 42.51 | 100 |
| 43.63 | 92 |
| 42.20 | 62 |
| 41.81 | 51 |
| 41.94 | 51 |
| 42.34 | 47 |

***

No. 2
# Zn3Fe2C12N12
Simulated powder diffractogram, Cu Kα, 1.54184 Å. Input: a cell relaxed with GGA-PBE.
Lines closer than 0.1° are merged.

Structure:
a b c (Å): 13.050 13.050 13.050
angles (deg): 58.32 58.32 58.32
Sites, in units of the cell vectors:
Zn1 0.039 0.750 0.461
Zn2 0.250 0.539 0.961
Zn3 0.461 0.039 0.750
Zn4 0.539 0.961 0.250
Zn5 0.750 0.461 0.039
Zn6 0.961 0.250 0.539
Fe1 0.146 0.146 0.146
Fe2 0.354 0.354 0.354
Fe3 0.646 0.646 0.646
Fe4 0.854 0.854 0.854
C1 0.003 0.751 0.901
C2 0.052 0.195 0.294
C3 0.099 0.997 0.249
C4 0.195 0.294 0.052
C5 0.206 0.305 0.448
C6 0.249 0.099 0.997
C7 0.251 0.503 0.401
C8 0.294 0.052 0.195
C9 0.305 0.448 0.206
C10 0.401 0.251 0.503
C11 0.448 0.206 0.305
C12 0.497 0.599 0.749
C13 0.503 0.401 0.251
C14 0.552 0.794 0.695
C15 0.599 0.749 0.497
C16 0.695 0.552 0.794
C17 0.706 0.948 0.805
C18 0.749 0.497 0.599
C19 0.751 0.901 0.003
C20 0.794 0.695 0.552
C21 0.805 0.706 0.948
C22 0.901 0.003 0.751
C23 0.948 0.805 0.706
C24 0.997 0.249 0.099
N1 0.001 0.775 0.615
N2 0.071 0.904 0.316
N3 0.096 0.684 0.929
N4 0.115 0.275 0.501
N5 0.184 0.596 0.429
N6 0.225 0.385 0.999
N7 0.275 0.501 0.115
N8 0.316 0.071 0.904
N9 0.385 0.999 0.225
N10 0.404 0.571 0.816
N11 0.429 0.184 0.596
N12 0.499 0.885 0.725
N13 0.501 0.115 0.275
N14 0.571 0.816 0.404
N15 0.596 0.429 0.184
N16 0.615 0.001 0.775
N17 0.684 0.929 0.096
N18 0.725 0.499 0.885
N19 0.775 0.615 0.001
N20 0.816 0.404 0.571
N21 0.885 0.725 0.499
N22 0.904 0.316 0.071
N23 0.929 0.096 0.684
N24 0.999 0.225 0.385

Top 6 peaks for 10 to 90 degrees two-theta, most intense first:
| 2θ/deg | I/Imax |
| --- | --- |
| 16.18 | 100 |
| 21.58 | 49 |
| 13.58 | 29 |
| 19.50 | 23 |
| 24.24 | 16 |
| 40.64 | 13 |

***

No. 3
# Nb4FeC2S4
Simulated powder diffractogram, Cu Kα, 1.54184 Å. Input: a cell relaxed with GGA-PBE.
Lines closer than 0.1° are merged.

Structure:
a b c (Å): 5.743 3.319 8.799
angles (deg): 90.00 102.18 90.00
Sites, in units of the cell vectors:
Nb1 0.119 0.000 0.367
Nb2 0.374 0.500 0.635
Nb3 0.626 0.500 0.365
Nb4 0.881 0.000 0.633
Fe1 0.000 0.000 0.000
C1 0.000 0.500 0.500
C2 0.500 0.000 0.500
S1 0.227 0.500 0.168
S2 0.276 0.000 0.830
S3 0.724 0.000 0.170
S4 0.773 0.500 0.832

Top 6 peaks for 10 to 90 degrees two-theta, most intense first:
| 2θ/deg | I/Imax |
| --- | --- |
| 10.29 | 100 |
| 31.33 | 81 |
| 42.19 | 65 |
| 55.39 | 62 |
| 35.82 | 57 |
| 42.00 | 51 |

***

No. 4
# Nd2Fe17C
Simulated powder diffractogram, Cu Kα, 1.54184 Å. Input: a cell relaxed with GGA-PBE.
Lines closer than 0.1° are merged.

Structure:
a b c (Å): 6.497 6.497 6.509
angles (deg): 96.16 96.16 83.48
Sites, in units of the cell vectors:
Nd1 0.161 0.161 0.352
Nd2 0.839 0.839 0.648
Fe1 0.000 0.500 0.000
Fe2 0.157 0.157 0.852
Fe3 0.159 0.650 0.342
Fe4 0.214 0.501 0.714
Fe5 0.214 0.786 0.000
Fe6 0.350 0.841 0.658
Fe7 0.404 0.404 0.097
Fe8 0.499 0.786 0.286
Fe9 0.500 0.000 0.000
Fe10 0.500 0.500 0.500
Fe11 0.501 0.214 0.714
Fe12 0.596 0.596 0.903
Fe13 0.650 0.159 0.342
Fe14 0.786 0.214 0.000
Fe15 0.786 0.499 0.286
Fe16 0.841 0.350 0.658
Fe17 0.843 0.843 0.148
C1 0.000 0.000 0.000

Top 6 peaks for 10 to 90 degrees two-theta, most intense first:
| 2θ/deg | I/Imax |
| --- | --- |
| 42.21 | 100 |
| 43.68 | 72 |
| 41.58 | 72 |
| 29.82 | 59 |
| 42.06 | 53 |
| 35.91 | 40 |

***

No. 5
# Nd2Fe17C3
Simulated powder diffractogram, Cu Kα, 1.54184 Å. Input: a cell relaxed with GGA-PBE.
Lines closer than 0.1° are merged.

Structure:
a b c (Å): 6.541 6.541 6.541
angles (deg): 83.83 83.83 83.83
Sites, in units of the cell vectors:
Nd1 0.156 0.156 0.156
Nd2 0.844 0.844 0.844
Fe1 0.000 0.500 0.500
Fe2 0.158 0.158 0.641
Fe3 0.158 0.641 0.158
Fe4 0.216 0.500 0.784
Fe5 0.216 0.784 0.500
Fe6 0.359 0.842 0.842
Fe7 0.405 0.405 0.405
Fe8 0.500 0.000 0.500
Fe9 0.500 0.216 0.784
Fe10 0.500 0.500 0.000
Fe11 0.500 0.784 0.216
Fe12 0.595 0.595 0.595
Fe13 0.641 0.158 0.158
Fe14 0.784 0.216 0.500
Fe15 0.784 0.500 0.216
Fe16 0.842 0.359 0.842
Fe17 0.842 0.842 0.359
C1 0.000 0.000 0.500
C2 0.000 0.500 0.000
C3 0.500 0.000 0.000

Top 6 peaks for 10 to 90 degrees two-theta, most intense first:
| 2θ/deg | I/Imax |
| --- | --- |
| 41.87 | 100 |
| 41.32 | 77 |
| 43.46 | 48 |
| 35.58 | 39 |
| 29.64 | 38 |
| 37.34 | 31 |

***

No. 6
# Nd2Fe20Si2C
Simulated powder diffractogram, Cu Kα, 1.54184 Å. Input: a cell relaxed with GGA-PBE.
Lines closer than 0.1° are merged.

Structure:
a b c (Å): 6.395 7.801 7.816
angles (deg): 79.83 66.13 65.99
Sites, in units of the cell vectors:
Nd1 0.129 0.247 0.250
Nd2 0.871 0.753 0.750
Fe1 0.000 0.000 0.000
Fe2 0.062 0.078 0.667
Fe3 0.065 0.674 0.082
Fe4 0.227 0.582 0.334
Fe5 0.239 0.325 0.578
Fe6 0.313 0.829 0.420
Fe7 0.321 0.420 0.824
Fe8 0.357 0.077 0.824
Fe9 0.359 0.832 0.080
Fe10 0.378 0.751 0.748
Fe11 0.500 0.500 0.000
Fe12 0.622 0.249 0.252
Fe13 0.641 0.168 0.920
Fe14 0.643 0.923 0.176
Fe15 0.679 0.580 0.176
Fe16 0.687 0.171 0.580
Fe17 0.761 0.675 0.422
Fe18 0.773 0.418 0.666
Fe19 0.935 0.326 0.918
Fe20 0.938 0.922 0.333
Si1 0.500 0.000 0.500
Si2 0.500 0.500 0.500
C1 0.000 0.500 0.000

Top 6 peaks for 10 to 90 degrees two-theta, most intense first:
| 2θ/deg | I/Imax |
| --- | --- |
| 40.07 | 100 |
| 39.87 | 89 |
| 39.71 | 65 |
| 39.65 | 49 |
| 43.37 | 48 |
| 40.00 | 47 |